[1]
Structure and computed powder X-ray diffraction pattern of Mg2Si (a cell relaxed with PBE; CuKα).
Kinematic intensities with the Lorentz-polarization factor, no thermal factor.

Crystal structure
```
data_Mg2Si
_chemical_formula_sum 'Mg8 Si4'
_space_group_name_H-M_alt 'P 1 21 1'
_space_group_IT_number 4
_cell_length_a 6.187
_cell_length_b 5.757
_cell_length_c 7.213
_cell_angle_alpha 90.00
_cell_angle_beta 105.89
_cell_angle_gamma 90.00
loop_
_space_group_symop_operation_xyz
'x,y,z'
'-x,y+1/2,-z'
loop_
_atom_site_label
_atom_site_type_symbol
_atom_site_fract_x
_atom_site_fract_y
_atom_site_fract_z
Mg1 Mg 0.053 0.000 0.412
Mg2 Mg 0.242 0.395 0.998
Mg3 Mg 0.318 0.893 0.126
Mg4 Mg 0.390 0.476 0.447
Si1 Si 0.034 0.038 0.780
Si2 Si 0.343 0.753 0.765
```

Main lines, by angle (10 to 80 degrees two-theta):
Position (°2θ), I_rel
31.1, 47
33.9, 49
36.8, 100
39.3, 47
40.9, 83
43.2, 43

[2]
Structure and computed powder X-ray diffraction pattern of Zr3ZnN (a cell relaxed with PBE; CuKα).
Kinematic intensities with the Lorentz-polarization factor, no thermal factor.

Crystal structure
```
data_Zr3ZnN
_chemical_formula_sum 'Zr12 Zn4 N4'
_space_group_name_H-M_alt 'C m c m'
_space_group_IT_number 63
_space_group_name_Hall '-C 2c 2'
_cell_length_a 3.361
_cell_length_b 11.559
_cell_length_c 8.964
_cell_angle_alpha 90.00
_cell_angle_beta 90.00
_cell_angle_gamma 90.00
loop_
_atom_site_label
_atom_site_type_symbol
_atom_site_fract_x
_atom_site_fract_y
_atom_site_fract_z
Zr1 Zr 0.000 0.047 0.250
Zr2 Zr 0.000 0.374 0.048
Zn1 Zn 0.000 0.256 0.750
N1 N 0.000 0.000 0.000
```

Main lines, by angle (10 to 80 degrees two-theta):
Position (°2θ), I_rel
33.8, 65
34.2, 100
35.4, 64
36.9, 82
37.0, 75
63.6, 41

[3]
Structure and computed powder X-ray diffraction pattern of N (a cell relaxed with PBE; CuKα).
Kinematic intensities with the Lorentz-polarization factor, no thermal factor.

Crystal structure
```
data_N
_chemical_formula_sum 'N4'
_space_group_name_H-M_alt 'P 63/m m c'
_space_group_IT_number 194
_space_group_name_Hall '-P 6c 2c'
_cell_length_a 4.0432
_cell_length_b 4.0432
_cell_length_c 6.6707
_cell_angle_alpha 90.00
_cell_angle_beta 90.00
_cell_angle_gamma 120.00
loop_
_atom_site_label
_atom_site_type_symbol
_atom_site_fract_x
_atom_site_fract_y
_atom_site_fract_z
N1 N 0.3333 0.6667 0.1665
```

Main lines, by angle (10 to 80 degrees two-theta):
Position (°2θ), I_rel
25.4, 32
26.7, 9
28.8, 100
44.8, 19
54.2, 10
72.9, 6

[4]
Structure and computed powder X-ray diffraction pattern of Ca3Pt2 (a cell relaxed with PBE; CuKα).
Kinematic intensities with the Lorentz-polarization factor, no thermal factor.

Crystal structure
```
data_Ca3Pt2
_chemical_formula_sum 'Ca27 Pt18'
_space_group_name_H-M_alt 'R -3'
_space_group_IT_number 148
_space_group_name_Hall '-R 3'
_cell_length_a 8.8522
_cell_length_b 8.8522
_cell_length_c 17.0252
_cell_angle_alpha 90.00
_cell_angle_beta 90.00
_cell_angle_gamma 120.00
loop_
_atom_site_label
_atom_site_type_symbol
_atom_site_fract_x
_atom_site_fract_y
_atom_site_fract_z
Ca1 Ca 0.0000 0.0000 0.0000
Ca2 Ca 0.0000 0.0000 0.2002
Ca3 Ca 0.0077 0.7466 0.5937
Pt1 Pt 0.0191 0.4060 0.5672
```

Main lines, by angle (10 to 80 degrees two-theta):
Position (°2θ), I_rel
20.1, 46
25.5, 100
32.6, 56
35.1, 41
37.6, 39
37.7, 53

[5]
Structure and computed powder X-ray diffraction pattern of ErScB2O6 (a cell relaxed with PBE; CuKα).
Kinematic intensities with the Lorentz-polarization factor, no thermal factor.

Crystal structure
```
data_ErScB2O6
_chemical_formula_sum 'Er3 Sc3 B6 O18'
_space_group_name_H-M_alt 'R -3'
_space_group_IT_number 148
_space_group_name_Hall '-R 3'
_cell_length_a 4.8940
_cell_length_b 4.8940
_cell_length_c 16.0173
_cell_angle_alpha 90.00
_cell_angle_beta 90.00
_cell_angle_gamma 120.00
loop_
_atom_site_label
_atom_site_type_symbol
_atom_site_fract_x
_atom_site_fract_y
_atom_site_fract_z
Er1 Er 0.0000 0.0000 0.0000
Sc1 Sc 0.0000 0.0000 0.5000
B1 B 0.0000 0.0000 0.2458
O1 O 0.0164 0.2919 0.2471
```

Main lines, by angle (10 to 80 degrees two-theta):
Position (°2θ), I_rel
21.7, 51
23.8, 92
30.7, 100
36.7, 33
40.6, 32
50.6, 44

[6]
Structure and computed powder X-ray diffraction pattern of Mg6TiCO8 (a cell relaxed with PBE; CuKα).
Kinematic intensities with the Lorentz-polarization factor, no thermal factor.

Crystal structure
```
data_Mg6TiCO8
_chemical_formula_sum 'Mg6 Ti1 C1 O8'
_space_group_name_H-M_alt 'P 4/m m m'
_space_group_IT_number 123
_space_group_name_Hall '-P 4 2'
_cell_length_a 4.254
_cell_length_b 4.254
_cell_length_c 8.580
_cell_angle_alpha 90.00
_cell_angle_beta 90.00
_cell_angle_gamma 90.00
loop_
_atom_site_label
_atom_site_type_symbol
_atom_site_fract_x
_atom_site_fract_y
_atom_site_fract_z
Mg1 Mg 0.000 0.000 0.000
Mg2 Mg 0.000 0.500 0.252
Mg3 Mg 0.500 0.500 0.000
Ti1 Ti 0.000 0.000 0.500
C1 C 0.500 0.500 0.500
O1 O 0.000 0.000 0.251
O2 O 0.000 0.500 0.000
O3 O 0.000 0.500 0.500
O4 O 0.500 0.500 0.243
```

Main lines, by angle (10 to 80 degrees two-theta):
Position (°2θ), I_rel
36.5, 18
42.1, 51
42.5, 100
61.4, 56
61.7, 28
77.5, 25

[7]
Structure and computed powder X-ray diffraction pattern of MgNiSb (a cell relaxed with PBE; CuKα).
Kinematic intensities with the Lorentz-polarization factor, no thermal factor.

Crystal structure
```
data_MgNiSb
_chemical_formula_sum 'Mg4 Ni4 Sb4'
_space_group_name_H-M_alt 'F -4 3 m'
_space_group_IT_number 216
_space_group_name_Hall 'F -4 2 3'
_cell_length_a 6.084
_cell_length_b 6.084
_cell_length_c 6.084
_cell_angle_alpha 90.00
_cell_angle_beta 90.00
_cell_angle_gamma 90.00
loop_
_atom_site_label
_atom_site_type_symbol
_atom_site_fract_x
_atom_site_fract_y
_atom_site_fract_z
Mg1 Mg 0.000 0.000 0.000
Ni1 Ni 0.250 0.250 0.750
Sb1 Sb 0.000 0.000 0.500
```

Main lines, by angle (10 to 80 degrees two-theta):
Position (°2θ), I_rel
25.4, 77
29.4, 20
42.0, 100
49.7, 36
60.9, 16
76.7, 32

[8]
Structure and computed powder X-ray diffraction pattern of DySb3 (a cell relaxed with PBE; CuKα).
Kinematic intensities with the Lorentz-polarization factor, no thermal factor.

Crystal structure
```
data_DySb3
_chemical_formula_sum 'Dy2 Sb6'
_space_group_name_H-M_alt 'P 63/m m c'
_space_group_IT_number 194
_space_group_name_Hall '-P 6c 2c'
_cell_length_a 6.5389
_cell_length_b 6.5389
_cell_length_c 5.9031
_cell_angle_alpha 90.00
_cell_angle_beta 90.00
_cell_angle_gamma 120.00
loop_
_atom_site_label
_atom_site_type_symbol
_atom_site_fract_x
_atom_site_fract_y
_atom_site_fract_z
Dy1 Dy 0.3333 0.6667 0.2500
Sb1 Sb 0.1741 0.3483 0.7500
```

Main lines, by angle (10 to 80 degrees two-theta):
Position (°2θ), I_rel
30.3, 34
31.6, 22
35.2, 100
44.3, 17
57.0, 24
65.2, 21